Entry 1:
Computed powder X-ray diffraction pattern of Sc2Ru for Cu Kα (λ = 1.5418 Å), from a structure optimized by DFT (PBE).
Kinematic intensities with the Lorentz-polarization factor, no thermal factor.

Structure:
```
Sc2Ru
1.0
3.3012 0.0000 0.0000
0.0000 14.4426 0.0000
0.0000 0.0000 4.8283
Sc Ru
8 4
direct
0.0000 0.0719 0.2500
0.0000 0.2174 0.7500
0.0000 0.7826 0.2500
0.0000 0.9281 0.7500
0.5000 0.2826 0.2500
0.5000 0.4281 0.7500
0.5000 0.5719 0.2500
0.5000 0.7174 0.7500
0.0000 0.4226 0.2500
0.0000 0.5774 0.7500
0.5000 0.0774 0.7500
0.5000 0.9226 0.2500
```

Peak list (12 most intense, 2θ = 10–90°, in order of falling intensity)
2theta  d_spacing  intensity
37.94  2.372  100
37.25  2.414  29
22.15  4.014  28
12.26  7.221  23
37.36  2.407  19
67.62  1.385  17
68.94  1.362  14
53.78  1.705  13
45.77  1.982  11
41.54  2.174  9
55.69  1.651  9
67.77  1.383  8

Entry 2:
Computed powder X-ray diffraction pattern of Sc6Ru5 for Cu Kα (λ = 1.5418 Å), from a structure optimized by DFT (PBE).
Kinematic intensities with the Lorentz-polarization factor, no thermal factor.

Structure:
```
Sc6Ru5
1.0
-2.2823 3.2142 6.7249
2.2823 -3.2142 6.7249
2.2823 3.2142 -6.7249
Sc Ru
6 5
direct
0.0815 0.3327 0.7488
0.2473 0.0000 0.2473
0.4161 0.6673 0.7488
0.5839 0.3327 0.2512
0.7527 0.0000 0.7527
0.9185 0.6673 0.2512
0.0000 0.5000 0.5000
0.1645 0.1645 0.0000
0.3311 0.8311 0.5000
0.6689 0.1689 0.5000
0.8355 0.8355 0.0000
```

Peak list (12 most intense, 2θ = 10–90°, in order of falling intensity)
2theta  d_spacing  intensity
39.76  2.267  100
39.48  2.282  26
40.23  2.242  24
71.81  1.315  24
57.64  1.599  16
72.80  1.299  15
27.89  3.199  13
15.28  5.800  11
85.70  1.134  10
57.33  1.607  8
72.35  1.306  8
13.17  6.725  7

Entry 3:
Computed powder X-ray diffraction pattern of Sc6Ru7 for Cu Kα (λ = 1.5418 Å), from a structure optimized by DFT (PBE).
Kinematic intensities with the Lorentz-polarization factor, no thermal factor.

Structure:
```
Sc6Ru7
1.0
2.6394 1.5239 9.3990
-2.6394 1.5239 9.3990
0.0000 -3.0477 9.3990
Sc Ru
6 7
direct
0.0535 0.0535 0.0535
0.1544 0.1544 0.1544
0.3371 0.3371 0.3371
0.6629 0.6629 0.6629
0.8456 0.8456 0.8456
0.9465 0.9465 0.9465
0.0830 0.5953 0.5953
0.4047 0.4047 0.9170
0.4047 0.9170 0.4047
0.5000 0.5000 0.5000
0.5953 0.0830 0.5953
0.5953 0.5953 0.0830
0.9170 0.4047 0.4047
```

Peak list (12 most intense, 2θ = 10–90°, in order of falling intensity)
2theta  d_spacing  intensity
42.68  2.118  100
39.14  2.301  88
18.88  4.699  67
39.56  2.278  59
45.63  1.988  46
19.67  4.513  44
40.34  2.236  42
38.31  2.350  42
71.49  1.320  37
41.53  2.174  33
39.96  2.256  29
37.47  2.400  27

Entry 4:
Computed powder X-ray diffraction pattern of Sc8Ru for Cu Kα (λ = 1.5418 Å), from a structure optimized by DFT (PBE).
Kinematic intensities with the Lorentz-polarization factor, no thermal factor.

Structure:
```
Sc8Ru
1.0
-4.5577 4.5577 2.4489
4.5577 -4.5577 2.4489
4.5577 4.5577 -2.4489
Sc Ru
8 1
direct
0.0000 0.3043 0.3043
0.0000 0.6957 0.6957
0.3043 0.0000 0.3043
0.3408 0.3408 0.6815
0.3408 0.6592 0.0000
0.6592 0.3408 0.0000
0.6592 0.6592 0.3185
0.6957 0.0000 0.6957
0.0000 0.0000 0.0000
```

Peak list (12 most intense, 2θ = 10–90°, in order of falling intensity)
2theta  d_spacing  intensity
34.74  2.582  100
42.06  2.149  26
36.70  2.449  23
13.74  6.446  22
57.02  1.615  20
72.14  1.309  15
64.83  1.438  14
44.99  2.015  11
20.59  4.314  8
73.33  1.291  8
60.99  1.519  7
88.82  1.102  4

Entry 5:
Computed powder X-ray diffraction pattern of Sc2Ru for Cu Kα (λ = 1.5418 Å), from a structure optimized by DFT (PBE).
Kinematic intensities with the Lorentz-polarization factor, no thermal factor.

Structure:
```
Sc2Ru
1.0
3.3096 0.0000 0.0000
0.0000 11.7292 0.0000
0.0000 0.0000 6.2845
Sc Ru
8 4
direct
0.0000 0.0252 0.0000
0.0000 0.2852 0.8208
0.0000 0.7148 0.3208
0.0000 0.9748 0.5000
0.5000 0.2148 0.3208
0.5000 0.4748 0.5000
0.5000 0.5252 0.0000
0.5000 0.7852 0.8208
0.0000 0.3804 0.2012
0.0000 0.6196 0.7012
0.5000 0.1196 0.7012
0.5000 0.8804 0.2012
```

Peak list (12 most intense, 2θ = 10–90°, in order of falling intensity)
2theta  d_spacing  intensity
20.72  4.288  100
38.41  2.344  70
40.32  2.237  67
35.54  2.526  61
42.15  2.144  36
46.02  1.972  31
31.49  2.841  29
48.79  1.867  28
32.32  2.770  23
52.27  1.750  21
55.53  1.655  17
28.40  3.142  16

Entry 6:
Computed powder X-ray diffraction pattern of Sc2RuSe for Cu Kα (λ = 1.5418 Å), from a structure optimized by DFT (PBE).
Kinematic intensities with the Lorentz-polarization factor, no thermal factor.

Structure:
```
Sc2RuSe
1.0
3.4388 0.0000 0.0000
0.0000 4.2807 0.0000
-1.7182 0.0000 4.9966
Sc Ru Se
2 1 1
direct
0.0000 0.0000 0.0000
0.2878 0.5000 0.5773
0.7405 0.0000 0.4842
0.5644 0.5000 0.1296
```

Peak list (12 most intense, 2θ = 10–90°, in order of falling intensity)
2theta  d_spacing  intensity
34.64  2.589  100
43.32  2.089  88
27.43  3.251  52
42.22  2.140  37
41.87  2.158  35
35.95  2.498  29
69.97  1.345  25
17.75  4.997  19
53.28  1.719  18
56.62  1.625  16
70.22  1.340  15
77.96  1.226  15

Entry 7:
Computed powder X-ray diffraction pattern of Sc3Si3Ru for Cu Kα (λ = 1.5418 Å), from a structure optimized by DFT (PBE).
Kinematic intensities with the Lorentz-polarization factor, no thermal factor.

Structure:
```
Sc3Si3Ru
1.0
11.7100 0.0000 0.0000
0.0000 3.9998 0.0000
0.0000 0.0000 10.2873
Sc Si Ru
12 12 4
direct
0.0195 0.2500 0.1231
0.1041 0.2500 0.4221
0.2019 0.7500 0.6612
0.2981 0.2500 0.1612
0.3959 0.7500 0.9221
0.4805 0.7500 0.6231
0.5195 0.2500 0.3769
0.6041 0.2500 0.0779
0.7019 0.7500 0.8388
0.7981 0.2500 0.3388
0.8959 0.7500 0.5779
0.9805 0.7500 0.8769
0.0452 0.2500 0.6941
0.1571 0.7500 0.2523
0.1777 0.7500 0.0149
0.3223 0.2500 0.5149
0.3429 0.2500 0.7523
0.4548 0.7500 0.1941
0.5452 0.2500 0.8059
0.6571 0.7500 0.2477
0.6777 0.7500 0.4851
0.8223 0.2500 0.9851
0.8429 0.2500 0.7477
0.9548 0.7500 0.3059
0.1772 0.2500 0.8908
0.3228 0.7500 0.3908
0.6772 0.2500 0.6092
0.8228 0.7500 0.1092
```

Peak list (12 most intense, 2θ = 10–90°, in order of falling intensity)
2theta  d_spacing  intensity
36.61  2.455  100
35.32  2.541  34
45.35  2.000  33
44.67  2.029  27
18.84  4.709  23
37.82  2.379  22
40.52  2.226  22
11.45  7.729  20
42.45  2.130  18
27.00  3.303  16
39.46  2.284  14
25.07  3.552  14

Entry 8:
Computed powder X-ray diffraction pattern of Sc6SiRu5 for Cu Kα (λ = 1.5418 Å), from a structure optimized by DFT (PBE).
Kinematic intensities with the Lorentz-polarization factor, no thermal factor.

Structure:
```
Sc6SiRu5
1.0
4.5188 0.0000 0.0000
0.0000 6.5130 0.0000
-2.2516 0.0000 6.7930
Sc Si Ru
6 1 5
direct
0.0000 0.2402 0.0000
0.0000 0.7598 0.0000
0.3301 0.2464 0.6602
0.3301 0.7536 0.6602
0.6699 0.2464 0.3398
0.6699 0.7536 0.3398
0.5000 0.5000 0.0000
0.1628 0.5000 0.3257
0.1662 0.0000 0.3325
0.5000 0.0000 0.0000
0.8338 0.0000 0.6675
0.8372 0.5000 0.6743
```

Peak list (12 most intense, 2θ = 10–90°, in order of falling intensity)
2theta  d_spacing  intensity
39.49  2.282  100
39.86  2.262  49
71.38  1.321  16
57.63  1.599  16
72.18  1.309  16
72.06  1.311  15
27.89  3.199  15
85.01  1.141  10
56.52  1.628  9
27.39  3.256  8
49.04  1.858  7
13.60  6.513  4